(1)
Structure and calculated XRD peak list of RbGa6Cu3 (a structure optimized by DFT (PBE); CuKα).

Structure:
```
data_RbGa6Cu3
_chemical_formula_sum 'Rb2 Ga12 Cu6'
_space_group_name_H-M_alt 'P 1 21/c 1'
_space_group_IT_number 14
_cell_length_a 9.4584
_cell_length_b 6.2639
_cell_length_c 8.0143
_cell_angle_alpha 90.00
_cell_angle_beta 111.45
_cell_angle_gamma 90.00
loop_
_space_group_symop_operation_xyz
'x,y,z'
'-x,-y,-z'
'-x,y+1/2,-z+1/2'
'x,-y+1/2,z+1/2'
loop_
_atom_site_label
_atom_site_type_symbol
_atom_site_fract_x
_atom_site_fract_y
_atom_site_fract_z
Rb1 Rb 0.0000 0.0000 0.0000
Ga1 Ga 0.2320 0.0418 0.7080
Ga2 Ga 0.3186 0.6885 0.8860
Ga3 Ga 0.4695 0.1448 0.2737
Cu1 Cu 0.3278 0.1795 0.4762
Cu2 Cu 0.5000 0.0000 0.0000
```

Main lines, sorted by position (2θ from 10° to 90°):
hkl 1 0 0, 2θ 10.05, rel. 1000
hkl 1 1 1, 2θ 23.11, rel. 123
hkl 2 0 -2, 2θ 25.02, rel. 129
hkl 2 1 1, 2θ 30.63, rel. 309
hkl 3 0 -2, 2θ 31.15, rel. 116
hkl 2 2 1, 2θ 39.64, rel. 200
hkl 0 3 1, 2θ 45.09, rel. 133
hkl 1 3 -1, 2θ 45.24, rel. 156
hkl 4 1 -3, 2θ 46.30, rel. 116
hkl 2 2 2, 2θ 47.22, rel. 172

(2)
Structure and calculated XRD peak list of Cd3Pd7Pt2 (a structure optimized by DFT (PBE); CuKα).

Structure:
```
data_Cd3Pd7Pt2
_chemical_formula_sum 'Cd6 Pd14 Pt4'
_space_group_name_H-M_alt 'C m m m'
_space_group_IT_number 65
_space_group_name_Hall '-C 2 2'
_cell_length_a 4.6359
_cell_length_b 19.8134
_cell_length_c 4.7092
_cell_angle_alpha 90.00
_cell_angle_beta 90.00
_cell_angle_gamma 90.00
loop_
_atom_site_label
_atom_site_type_symbol
_atom_site_fract_x
_atom_site_fract_y
_atom_site_fract_z
Cd1 Cd 0.0000 0.0000 0.0000
Cd2 Cd 0.0000 0.1582 0.0000
Pd1 Pd 0.0000 0.0758 0.5000
Pd2 Pd 0.0000 0.2196 0.5000
Pd3 Pd 0.0000 0.4231 0.0000
Pd4 Pd 0.0000 0.5000 0.5000
Pt1 Pt 0.0000 0.3536 0.5000
```

Main lines, sorted by position (2θ from 10° to 90°):
hkl 0 0 1, 2θ 18.84, rel. 129
hkl 0 2 1, 2θ 20.89, rel. 71
hkl 1 3 1, 2θ 30.25, rel. 108
hkl 1 5 1, 2θ 35.37, rel. 118
hkl 0 0 2, 2θ 38.22, rel. 361
hkl 2 0 0, 2θ 38.85, rel. 345
hkl 1 7 1, 2θ 42.04, rel. 1000
hkl 2 0 2, 2θ 55.64, rel. 262
hkl 1 7 3, 2θ 71.70, rel. 200
hkl 3 7 1, 2θ 72.53, rel. 194

(3)
Structure and calculated XRD peak list of Cs3RbHg (a structure optimized by DFT (PBE); CuKα).

Structure:
```
data_Cs3RbHg
_chemical_formula_sum 'Cs12 Rb4 Hg4'
_space_group_name_H-M_alt 'P 42/m n m'
_space_group_IT_number 136
_space_group_name_Hall '-P 4n 2n'
_cell_length_a 16.8071
_cell_length_b 16.8071
_cell_length_c 5.7234
_cell_angle_alpha 90.00
_cell_angle_beta 90.00
_cell_angle_gamma 90.00
loop_
_atom_site_label
_atom_site_type_symbol
_atom_site_fract_x
_atom_site_fract_y
_atom_site_fract_z
Cs1 Cs 0.0002 0.3169 0.0000
Cs2 Cs 0.0984 0.0984 0.5000
Rb1 Rb 0.1911 0.8089 0.5000
Hg1 Hg 0.0690 0.9310 0.0000
```

Main lines, sorted by position (2θ from 10° to 90°):
hkl 2 0 0, 2θ 10.53, rel. 323
hkl 2 2 1, 2θ 21.56, rel. 222
hkl 3 0 1, 2θ 22.20, rel. 1000
hkl 3 3 0, 2θ 22.44, rel. 321
hkl 3 1 1, 2θ 22.83, rel. 372
hkl 5 1 0, 2θ 27.05, rel. 404
hkl 3 3 1, 2θ 27.38, rel. 277
hkl 4 2 1, 2θ 28.41, rel. 493
hkl 0 0 2, 2θ 31.26, rel. 314
hkl 5 1 2, 2θ 41.81, rel. 284

(4)
Structure and calculated XRD peak list of Cs4MnCl6 (a structure optimized by DFT (PBE); CuKα).

Structure:
```
data_Cs4MnCl6
_chemical_formula_sum 'Cs16 Mn4 Cl24'
_space_group_name_H-M_alt 'C 1 c 1'
_space_group_IT_number 9
_cell_length_a 17.2229
_cell_length_b 8.8549
_cell_length_c 15.7262
_cell_angle_alpha 90.00
_cell_angle_beta 119.33
_cell_angle_gamma 90.00
loop_
_space_group_symop_operation_xyz
'x,y,z'
'x,-y,z+1/2'
'x+1/2,y+1/2,z'
'x+1/2,-y+1/2,z+1/2'
loop_
_atom_site_label
_atom_site_type_symbol
_atom_site_fract_x
_atom_site_fract_y
_atom_site_fract_z
Cs1 Cs 0.0000 0.0993 0.0000
Cs2 Cs 0.1699 0.2398 0.3329
Cs3 Cs 0.2741 0.3354 0.6785
Cs4 Cs 0.4319 0.1369 0.1787
Mn1 Mn 0.2015 0.2288 0.9085
Cl1 Cl 0.1243 0.4285 0.9330
Cl2 Cl 0.1269 0.1487 0.7427
Cl3 Cl 0.2045 0.0238 0.0083
Cl4 Cl 0.3288 0.3228 0.2792
Cl5 Cl 0.3460 0.2953 0.9430
Cl6 Cl 0.4544 0.2372 0.6613
```

Main lines, sorted by position (2θ from 10° to 90°):
hkl 3 1 -1, 2θ 18.55, rel. 786
hkl 3 1 -2, 2θ 18.91, rel. 1000
hkl 0 2 0, 2θ 20.03, rel. 683
hkl 0 2 1, 2θ 21.09, rel. 558
hkl 2 0 2, 2θ 21.40, rel. 842
hkl 4 0 0, 2θ 23.71, rel. 436
hkl 1 1 3, 2θ 25.10, rel. 835
hkl 2 2 1, 2θ 25.73, rel. 485
hkl 6 0 -2, 2θ 31.47, rel. 602
hkl 6 0 -4, 2θ 32.37, rel. 624

(5)
Structure and calculated XRD peak list of Cs3InCl6 (a structure optimized by DFT (PBE); CuKα).

Structure:
```
data_Cs3InCl6
_chemical_formula_sum 'Cs12 In4 Cl24'
_space_group_name_H-M_alt 'F m -3 m'
_space_group_IT_number 225
_space_group_name_Hall '-F 4 2 3'
_cell_length_a 11.6196
_cell_length_b 11.6196
_cell_length_c 11.6196
_cell_angle_alpha 90.00
_cell_angle_beta 90.00
_cell_angle_gamma 90.00
loop_
_atom_site_label
_atom_site_type_symbol
_atom_site_fract_x
_atom_site_fract_y
_atom_site_fract_z
Cs1 Cs 0.0000 0.0000 0.0000
Cs2 Cs 0.2500 0.2500 0.2500
In1 In 0.0000 0.0000 0.5000
Cl1 Cl 0.0000 0.0000 0.2807
```

Main lines, sorted by position (2θ from 10° to 90°):
hkl 2 2 0, 2θ 21.63, rel. 1000
hkl 4 0 0, 2θ 30.78, rel. 524
hkl 4 2 2, 2θ 37.93, rel. 433
hkl 4 4 0, 2θ 44.09, rel. 349
hkl 6 2 0, 2θ 49.62, rel. 255
hkl 4 4 4, 2θ 54.73, rel. 113
hkl 6 4 2, 2θ 59.54, rel. 274
hkl 6 6 0, 2θ 68.52, rel. 119
hkl 8 4 0, 2θ 72.80, rel. 132
hkl 10 2 0, 2θ 85.16, rel. 151

(6)
Structure and calculated XRD peak list of Ce2SnSb2 (a structure optimized by DFT (PBE); CuKα).

Structure:
```
data_Ce2SnSb2
_chemical_formula_sum 'Ce16 Sn8 Sb16'
_space_group_name_H-M_alt 'F d d d'
_space_group_IT_number 70
_cell_length_a 4.5352
_cell_length_b 14.5546
_cell_length_c 19.8255
_cell_angle_alpha 90.00
_cell_angle_beta 90.00
_cell_angle_gamma 90.00
loop_
_space_group_symop_operation_xyz
'x,y,z'
'-x,-y,-z'
'-x+1/4,-y+1/4,z'
'x+1/4,y+1/4,-z'
'x,-y+1/4,-z+1/4'
'-x,y+1/4,z+1/4'
'-x+1/4,y,-z+1/4'
'x+1/4,-y,z+1/4'
'x,y+1/2,z+1/2'
'-x,-y+1/2,-z+1/2'
'-x+1/4,-y+3/4,z+1/2'
'x+1/4,y+3/4,-z+1/2'
'x,-y+3/4,-z+3/4'
'-x,y+3/4,z+3/4'
'-x+1/4,y+1/2,-z+3/4'
'x+1/4,-y+1/2,z+3/4'
'x+1/2,y,z+1/2'
'-x+1/2,-y,-z+1/2'
'-x+3/4,-y+1/4,z+1/2'
'x+3/4,y+1/4,-z+1/2'
'x+1/2,-y+1/4,-z+3/4'
'-x+1/2,y+1/4,z+3/4'
'-x+3/4,y,-z+3/4'
'x+3/4,-y,z+3/4'
'x+1/2,y+1/2,z'
'-x+1/2,-y+1/2,-z'
'-x+3/4,-y+3/4,z'
'x+3/4,y+3/4,-z'
'x+1/2,-y+3/4,-z+1/4'
'-x+1/2,y+3/4,z+1/4'
'-x+3/4,y+1/2,-z+1/4'
'x+3/4,-y+1/2,z+1/4'
loop_
_atom_site_label
_atom_site_type_symbol
_atom_site_fract_x
_atom_site_fract_y
_atom_site_fract_z
Ce1 Ce 0.1250 0.2796 0.1250
Sn1 Sn 0.1250 0.1250 0.6250
Sb1 Sb 0.0000 0.0000 0.5000
```

Main lines, sorted by position (2θ from 10° to 90°):
hkl 0 4 0, 2θ 24.46, rel. 287
hkl 1 1 3, 2θ 24.58, rel. 230
hkl 1 3 1, 2θ 27.29, rel. 199
hkl 1 3 3, 2θ 30.18, rel. 1000
hkl 0 4 4, 2θ 30.54, rel. 207
hkl 1 3 5, 2θ 35.30, rel. 659
hkl 0 0 8, 2θ 36.25, rel. 397
hkl 0 6 2, 2θ 38.20, rel. 231
hkl 2 0 2, 2θ 40.82, rel. 222
hkl 1 3 11, 2θ 58.28, rel. 155